Nd3Co7Cu2: computed powder diffraction line list (Cu Ka), based on a structure optimized by DFT (PBE).

Atomic structure:
```
12
Lattice="2.5170 1.4532 8.4602 -2.5170 1.4532 8.4602 0.0000 -2.9063 8.4602" Properties=species:S:1:pos:R:3 pbc="T T T"
Nd 0.0000 0.0000 0.0000
Nd 0.0000 0.0000 3.5342
Nd 0.0000 0.0000 21.8464
Co -1.2504 -0.7219 10.5253
Co 0.0000 -1.4438 14.8553
Co -1.2503 0.7219 14.8553
Co 0.0000 0.0000 12.6903
Co 1.2504 -0.7219 10.5253
Co 0.0000 1.4438 10.5253
Co 1.2504 0.7219 14.8553
Cu 0.0000 0.0000 8.4547
Cu 0.0000 0.0000 16.9259
```

The 12 most intense peaks (15° ≤ 2θ ≤ 90°), in order of rising 2θ:
d = 2.788 Å, 32.11°, intensity 465
d = 2.565 Å, 34.98°, intensity 388
d = 2.517 Å, 35.67°, intensity 533
d = 2.172 Å, 41.58°, intensity 365
d = 2.163 Å, 41.76°, intensity 1000
d = 2.039 Å, 44.42°, intensity 151
d = 2.003 Å, 45.28°, intensity 158
d = 1.500 Å, 61.85°, intensity 139
d = 1.462 Å, 63.63°, intensity 139
d = 1.454 Å, 64.05°, intensity 173
d = 1.374 Å, 68.24°, intensity 219
d = 1.258 Å, 75.55°, intensity 213